Starting from DFT lattice parameters and positions (PBE+U), the X-ray powder pattern of Rb2LiNd2W4O16 was computed for Cu Ka.

The 10 most intense peaks (2θ = 10–80°), in order of rising 2θ:
13.28 deg, I 17.1
15.62 deg, I 20.1
26.75 deg, I 100.0
28.55 deg, I 99.6
31.36 deg, I 32.0
31.54 deg, I 28.6
33.23 deg, I 21.9
45.07 deg, I 24.4
46.50 deg, I 29.4
55.13 deg, I 21.6

Structural model:
```
Rb2LiNd2W4O16
1.0
5.417 -5.673 0.000
5.417 5.673 0.000
-4.875 0.000 5.705
Rb Li Nd W O
2 1 2 4 16
Direct
0.000 0.000 0.000
0.540 0.460 0.500
0.761 0.239 0.000
0.511 0.489 0.000
0.983 0.017 0.500
0.044 0.554 0.540
0.063 0.536 0.042
0.446 0.956 0.460
0.464 0.937 0.958
0.108 0.482 0.294
0.128 0.826 0.277
0.137 0.315 0.887
0.174 0.872 0.723
0.332 0.619 0.769
0.381 0.181 0.617
0.381 0.668 0.231
0.399 0.004 0.206
0.518 0.892 0.706
0.546 0.211 0.064
0.685 0.863 0.113
0.719 0.035 0.580
0.789 0.454 0.936
0.819 0.619 0.383
0.965 0.281 0.420
0.996 0.601 0.794
```